Theoretical PXRD pattern of Pr3Cu4Si2Ge2 for Cu Kα, from a cell relaxed with PBE.
Intensities are scaled so that the largest is 100.

The 12 most intense peaks (2θ = 10–90°), sorted by position:
2θ 23.87, I 15.1, (0 1 3)
2θ 31.01, I 10.5, (1 1 2)
2θ 33.63, I 100.0, (1 1 4)
2θ 39.82, I 20.5, (0 1 9)
2θ 43.00, I 18.0, (0 2 0)
2θ 43.17, I 17.8, (2 0 0)
2θ 46.63, I 9.7, (0 1 11)
2θ 55.66, I 13.8, (1 2 7)
2θ 60.17, I 11.9, (2 1 9)
2θ 62.57, I 11.4, (2 2 0)
2θ 69.85, I 10.4, (1 1 16)
2θ 73.07, I 9.9, (3 1 4)

Cell and atoms:
Unit cell a=4.1909 b=4.2074 c=24.1741 alpha=90.00 beta=90.00 gamma=90.00
Space group Immm (No. 71)
Symmetry-distinct sites (fractional):
1 Pr 0.0000 0.0000 0.0000
2 Pr 0.0000 0.5000 0.1529
3 Cu 0.0000 0.0000 0.2499
4 Cu 0.0000 0.5000 0.4002
5 Si 0.0000 0.5000 0.3028
6 Ge 0.0000 0.0000 0.4475